# Fe3O4F2
Calculated PXRD pattern, copper Kα. Input: a cell relaxed with GGA+U.
Kinematic intensities with the Lorentz-polarization factor, no thermal factor.

Peak list (6 most intense, 5 to 70 degrees two-theta, in order of rising 2θ)
d/Å	intensity	h k l
3.308	100	1 3 0
2.563	25	1 0 1
2.553	31	0 3 1
2.245	13	1 3 1
1.731	22	2 3 1
1.722	31	1 6 1

Structural model:
```
data_Fe3O4F2
_cell_length_a 4.709
_cell_length_b 13.947
_cell_length_c 3.056
_cell_angle_alpha 90.00
_cell_angle_beta 90.00
_cell_angle_gamma 90.00
_symmetry_space_group_name_H-M 'P n n m'
_symmetry_Int_Tables_number 58
_symmetry_space_group_name_Hall '-P 2 2n'
loop_
_atom_site_label
_atom_site_type_symbol
_atom_site_fract_x
_atom_site_fract_y
_atom_site_fract_z
Fe1 Fe 0.000 0.000 0.000
Fe2 Fe 0.061 0.325 0.000
O1 O 0.169 0.934 0.500
O2 O 0.242 0.266 0.500
F1 F 0.158 0.600 0.500
```